This entry pairs a crystal structure of CeFe4As12 with its calculated X-ray powder pattern. Radiation: Cu Kα, 1.54184 Å. Structure: a structure optimized by DFT (GGA-PBE).

Principal peaks in the range 2θ from 5° to 70°, sorted by position:
2θ (°)	intensity	h k l
15.06	3	1 1 0
30.39	7	2 2 0
34.08	100	3 0 1
40.57	50	3 1 2
43.51	3	4 0 0
48.96	13	4 2 0
51.52	2	3 3 2
53.99	28	4 2 2
56.39	30	4 3 1
65.40	10	5 3 0
67.55	9	6 0 0
69.66	5	5 2 3

Atomic structure:
a b c (Å): 8.320 8.320 8.320
angles (deg): 90.00 90.00 90.00
Space group Im-3 (No. 204)
Unique sites:
1 Ce 0.000 0.000 0.000 [2 per cell]
2 Fe 0.250 0.250 0.250 [8 per cell]
3 As 0.000 0.342 0.156 [24 per cell]